Structure and computed PXRD pattern of Ce6Si3Tc (the PBE geometry in Alexandria; Cu Kα (λ = 1.5418 Å)).
No peak broadening, texture or thermal motion is included.

```
data_Ce6Si3Tc
_space_group_name_H-M_alt 'P 1'
_space_group_IT_number 1
_space_group_name_Hall 'P 1'
_cell_length_a 7.935
_cell_length_b 7.935
_cell_length_c 7.935
_cell_angle_alpha 87.71
_cell_angle_beta 87.71
_cell_angle_gamma 87.71
loop_
_atom_site_label
_atom_site_type_symbol
_atom_site_fract_x
_atom_site_fract_y
_atom_site_fract_z
_atom_site_occupancy
Ce1 Ce 0.022 0.022 0.334 1
Ce2 Ce 0.022 0.334 0.022 1
Ce3 Ce 0.274 0.274 0.620 1
Ce4 Ce 0.274 0.620 0.274 1
Ce5 Ce 0.334 0.022 0.022 1
Ce6 Ce 0.380 0.726 0.726 1
Ce7 Ce 0.620 0.274 0.274 1
Ce8 Ce 0.666 0.978 0.978 1
Ce9 Ce 0.726 0.380 0.726 1
Ce10 Ce 0.726 0.726 0.380 1
Ce11 Ce 0.978 0.666 0.978 1
Ce12 Ce 0.978 0.978 0.666 1
Si1 Si 0.031 0.603 0.603 1
Si2 Si 0.397 0.397 0.969 1
Si3 Si 0.397 0.969 0.397 1
Si4 Si 0.603 0.031 0.603 1
Si5 Si 0.603 0.603 0.031 1
Si6 Si 0.969 0.397 0.397 1
Tc1 Tc 0.000 0.000 0.000 1
Tc2 Tc 0.500 0.500 0.500 1
```

Top 8 peaks for 15° ≤ 2θ ≤ 90°, by angle:
d = 3.490 Å, intensity 27; d = 3.343 Å, intensity 32; d = 3.174 Å, intensity 26; d = 2.641 Å, intensity 100; d = 2.597 Å, intensity 32; d = 2.535 Å, intensity 22; d = 2.123 Å, intensity 20; d = 1.833 Å, intensity 39